Calculated PXRD pattern of Sr3Hg for Cu Kα X-rays, from the GGA-PBE geometry in Alexandria.
No peak broadening, texture or thermal motion is included.

Structure:
Lattice parameters (Å, degrees): 8.585 11.041 7.481 90.00 90.00 90.00
Atoms (fractional coordinates):
Sr  0.033  0.250  0.142
Sr  0.178  0.063  0.661
Sr  0.178  0.437  0.661
Sr  0.322  0.563  0.161
Sr  0.322  0.937  0.161
Sr  0.467  0.750  0.642
Sr  0.533  0.250  0.358
Sr  0.678  0.063  0.839
Sr  0.678  0.437  0.839
Sr  0.822  0.563  0.339
Sr  0.822  0.937  0.339
Sr  0.967  0.750  0.858
Hg  0.121  0.750  0.445
Hg  0.379  0.250  0.945
Hg  0.621  0.750  0.055
Hg  0.879  0.250  0.555

Principal peaks in the range 2θ = 15–90°, low angle first:
(1 0 1), 2θ 15.71, I 62
(0 2 0), 2θ 16.06, I 53
(1 1 1), 2θ 17.66, I 74
(1 1 2), 2θ 27.23, I 98
(0 2 2), 2θ 28.89, I 100
(1 3 1), 2θ 28.97, I 97
(1 2 2), 2θ 30.69, I 50
(2 3 0), 2θ 32.03, I 66
(2 1 2), 2θ 32.78, I 50
(3 0 1), 2θ 33.53, I 46
(3 1 1), 2θ 34.52, I 43
(1 5 2), 2θ 49.09, I 37